CeSm2RuN4: theoretical PXRD pattern (Cu Kα (λ = 1.5418 Å)), based on DFT lattice parameters and positions (PBE).
Intensities are scaled so that the largest is 1000.

Largest 10 diffraction maxima, by angle, 2θ = 5–70°:
Position (°2θ)  d [Å]  intensity
27.2  3.276  477
30.3  2.950  987
31.0  2.885  1000
35.5  2.531  342
37.9  2.372  904
43.4  2.087  236
47.3  1.923  210
49.3  1.848  245
52.4  1.745  315
62.5  1.487  256

Structural model:
a = 6.142 Å, b = 6.142 Å, c = 11.820 Å
α = 90.00°, β = 90.00°, γ = 147.44°
Fractional positions:
Ce 0.113 0.887 0.750
Ce 0.887 0.113 0.250
Sm 0.369 0.631 0.547
Sm 0.369 0.631 0.953
Sm 0.631 0.369 0.047
Sm 0.631 0.369 0.453
Ru 0.147 0.853 0.250
Ru 0.853 0.147 0.750
N 0.000 0.000 0.000
N 0.000 0.000 0.500
N 0.275 0.725 0.136
N 0.275 0.725 0.364
N 0.452 0.548 0.750
N 0.548 0.452 0.250
N 0.725 0.275 0.636
N 0.725 0.275 0.864

***

SrCeRuN2: theoretical PXRD pattern (Cu Kα (λ = 1.5418 Å)), based on DFT lattice parameters and positions (PBE).
Intensities are scaled so that the largest is 1000.

Largest 10 diffraction maxima, by angle, 2θ = 5–70°:
Position (°2θ)  d [Å]  intensity
16.0  5.531  816
23.3  3.813  386
31.2  2.863  275
32.4  2.766  525
34.1  2.631  428
34.7  2.586  1000
35.9  2.501  910
47.7  1.906  431
58.4  1.580  224
61.4  1.510  218

Structural model:
a = 5.538 Å, b = 5.263 Å, c = 6.832 Å
α = 90.00°, β = 92.81°, γ = 90.00°
Fractional positions:
Sr 0.000 0.038 0.250
Sr 0.000 0.962 0.750
Ce 0.500 0.486 0.750
Ce 0.500 0.514 0.250
Ru 0.500 0.000 0.000
Ru 0.500 0.000 0.500
N 0.279 0.292 0.999
N 0.279 0.708 0.499
N 0.721 0.292 0.501
N 0.721 0.708 0.001

***

CeZr2RuN4: theoretical PXRD pattern (Cu Kα (λ = 1.5418 Å)), based on DFT lattice parameters and positions (PBE).
Intensities are scaled so that the largest is 1000.

Largest 10 diffraction maxima, by angle, 2θ = 5–70°:
Position (°2θ)  d [Å]  intensity
28.4  3.141  374
31.4  2.845  592
31.7  2.826  418
32.7  2.735  1000
37.3  2.410  340
39.9  2.262  921
45.2  2.005  253
51.6  1.770  283
66.2  1.411  205
66.4  1.408  216

Structural model:
a = 5.918 Å, b = 5.918 Å, c = 11.303 Å
α = 90.00°, β = 90.00°, γ = 148.13°
Fractional positions:
Ce 0.111 0.889 0.750
Ce 0.889 0.111 0.250
Zr 0.370 0.630 0.550
Zr 0.370 0.630 0.950
Zr 0.630 0.370 0.050
Zr 0.630 0.370 0.450
Ru 0.150 0.850 0.250
Ru 0.850 0.150 0.750
N 0.000 0.000 0.000
N 0.000 0.000 0.500
N 0.274 0.726 0.116
N 0.274 0.726 0.384
N 0.458 0.542 0.750
N 0.542 0.458 0.250
N 0.726 0.274 0.616
N 0.726 0.274 0.884